1.
For EuMn2O5, a DFT-relaxed cell (GGA+U, the Materials Project) gives the simulated powder diffraction line list in this record (Cu Kα).
Intensities are scaled so that the largest is 100.

The 6 most intense peaks (2θ = 10–90°), most intense first:
h k l	2theta	I/Imax
2 1 1	30.03	100
1 2 1	28.22	75
1 3 0	33.16	37
0 0 1	15.19	33
2 1 2	40.45	31
1 1 2	34.55	26

Atomic structure:
Unit cell a=7.5436 b=8.6803 c=5.8337 alpha=90.00 beta=90.00 gamma=90.00
Space group Pbam (No. 55)
Symmetry-distinct sites (fractional):
Eu: 0.1406 0.1707 0.0000 x4
Mn: 0.0000 0.5000 0.2545 x4
Mn: 0.0927 0.8507 0.5000 x4
O: 0.0000 0.0000 0.2790 x4
O: 0.1021 0.7063 0.2477 x8
O: 0.1514 0.4319 0.5000 x4
O: 0.1574 0.4463 0.0000 x4


2.
For Eu2Mn2O7, a DFT-relaxed cell (GGA+U, the Materials Project) gives the simulated powder diffraction line list in this record (Cu Kα).
Intensities are scaled so that the largest is 100.

The 6 most intense peaks (2θ = 10–90°), most intense first:
h k l	2theta	I/Imax
2 2 2	30.47	100
4 4 0	50.83	46
6 2 2	60.43	41
4 0 0	35.33	30
1 1 1	15.10	20
3 3 1	38.62	17

Atomic structure:
Unit cell a=10.1612 b=10.1612 c=10.1612 alpha=90.00 beta=90.00 gamma=90.00
Space group Fd-3m (No. 227, origin choice 2)
Symmetry-distinct sites (fractional):
Eu: 0.0000 0.0000 0.0000 x16
Mn: 0.0000 0.0000 0.5000 x16
O: 0.0760 0.3750 0.8750 x48
O: 0.1250 0.1250 0.1250 x8